# PrI3O9
Theoretical X-ray diffraction stick pattern, Cu Kα. Input: a structure optimized by DFT (PBE).

The 8 most intense peaks (15 to 90 degrees two-theta), in order of falling intensity:
| (hkl) | 2θ (°) | d/Å | Rel. int. |
| --- | --- | --- | --- |
| 1 1 -4 | 26.4 | 3.374 | 100 |
| 2 1 0 | 27.0 | 3.298 | 80 |
| 0 1 3 | 23.4 | 3.803 | 41 |
| 1 0 4 | 30.2 | 2.955 | 35 |
| 3 0 -4 | 32.0 | 2.796 | 27 |
| 1 2 0 | 32.6 | 2.745 | 25 |
| 1 1 1 | 21.1 | 4.212 | 22 |
| 1 2 -1 | 32.3 | 2.771 | 22 |

Unit cell a=8.8027 b=5.8445 c=16.5565 alpha=90.00 beta=114.84 gamma=90.00
Sites, in units of the cell vectors:
Pr  0.1363  0.2392  0.0986
Pr  0.1363  0.2608  0.5986
Pr  0.8637  0.7392  0.4014
Pr  0.8637  0.7608  0.9014
I  0.0729  0.1888  0.3465
I  0.0729  0.3112  0.8465
I  0.3649  0.6437  0.5253
I  0.3649  0.8563  0.0253
I  0.4143  0.5932  0.7992
I  0.4143  0.9068  0.2992
I  0.5857  0.0932  0.7008
I  0.5857  0.4068  0.2008
I  0.6351  0.1437  0.9747
I  0.6351  0.3563  0.4747
I  0.9271  0.6888  0.1535
I  0.9271  0.8112  0.6535
O  0.0634  0.0539  0.7118
O  0.0634  0.4461  0.2118
O  0.0900  0.0773  0.4545
O  0.0900  0.4227  0.9545
O  0.1008  0.6097  0.6730
O  0.1008  0.8903  0.1730
O  0.1375  0.5913  0.4934
O  0.1375  0.9087  0.9934
O  0.3291  0.5939  0.8834
O  0.3291  0.9061  0.3834
O  0.3422  0.1949  0.2568
O  0.3422  0.3051  0.7568
O  0.3606  0.0938  0.9474
O  0.3606  0.4062  0.4474
O  0.3701  0.5090  0.1308
O  0.3701  0.9910  0.6308
O  0.4117  0.0332  0.1251
O  0.4117  0.4668  0.6251
O  0.5883  0.5332  0.3749
O  0.5883  0.9668  0.8749
O  0.6299  0.0090  0.3692
O  0.6299  0.4910  0.8692
O  0.6394  0.5938  0.5526
O  0.6394  0.9062  0.0526
O  0.6578  0.6949  0.2432
O  0.6578  0.8051  0.7432
O  0.6709  0.0939  0.6166
O  0.6709  0.4061  0.1166
O  0.8625  0.0913  0.0066
O  0.8625  0.4087  0.5066
O  0.8992  0.1097  0.8270
O  0.8992  0.3903  0.3270
O  0.9100  0.5773  0.0455
O  0.9100  0.9227  0.5455
O  0.9366  0.5539  0.7882
O  0.9366  0.9461  0.2882